Structure and simulated powder diffractogram of Hf3NiO6F6 (the PBE+U geometry in Alexandria; Cu Kα (λ = 1.5418 Å)).
Lines closer than 0.1° are merged.

Structure:
Cell: 6.8375 7.1276 7.1785 Å, 91.04 117.07 110.82°
Space group P-1 (No. 2)
One atom of each set of equivalent atoms:
Hf  0.0000  0.0000  0.0000 [1 per cell]
Hf  0.0000  0.5000  0.0000 [1 per cell]
Hf  0.5000  0.0000  0.5000 [1 per cell]
Ni  0.0000  0.0000  0.5000 [1 per cell]
O  0.0425  0.1759  0.7798 [2 per cell]
O  0.1500  0.7449  0.2695 [2 per cell]
O  0.3219  0.0725  0.6140 [2 per cell]
F  0.0301  0.7622  0.8602 [2 per cell]
F  0.3260  0.5388  0.0930 [2 per cell]
F  0.3558  0.1289  0.2227 [2 per cell]

Principal peaks in the range 2θ = 15–90°, low angle first:
2θ/deg  d_spacing  I (rel.)
15.24  5.815  100
15.95  5.557  26
17.44  5.086  26
26.22  3.399  19
27.42  3.252  27
28.25  3.159  19
28.61  3.120  21
30.74  2.908  19
32.22  2.779  21
35.30  2.543  24